Entry 1:
For SmY6Sc3, a crystal structure in Alexandria, relaxed with PBE gives the theoretical X-ray powder pattern in this record (Cu Kα, 1.54184 Å).
Lines closer than 0.1° are merged.

The 10 most intense peaks (10° ≤ 2θ ≤ 90°), low angle first:
- 2θ 31.4, I = 100
- 2θ 36.3, I = 34
- 2θ 36.8, I = 16
- 2θ 52.2, I = 12
- 2θ 52.6, I = 21
- 2θ 62.2, I = 26
- 2θ 62.9, I = 12
- 2θ 65.6, I = 11
- 2θ 85.5, I = 5
- 2θ 86.1, I = 9

Structure:
```
data_SmY6Sc3
_chemical_formula_sum 'Sm2 Y12 Sc6'
_symmetry_space_group_name_H-M 'P 1'
_symmetry_Int_Tables_number 1
_symmetry_space_group_name_Hall 'P 1'
_cell_length_a 10.9616
_cell_length_b 4.9527
_cell_length_c 11.0480
_cell_angle_alpha 90.00
_cell_angle_beta 90.60
_cell_angle_gamma 90.00
loop_
_atom_site_label
_atom_site_type_symbol
_atom_site_fract_x
_atom_site_fract_y
_atom_site_fract_z
Sm1 Sm 0.0501 0.2500 0.4018
Sm2 Sm 0.9499 0.7500 0.5982
Y1 Y 0.0544 0.7500 0.9025
Y2 Y 0.1533 0.7500 0.2011
Y3 Y 0.1608 0.2500 0.7071
Y4 Y 0.2628 0.7500 0.5072
Y5 Y 0.3607 0.2500 0.3025
Y6 Y 0.4545 0.7500 0.0996
Y7 Y 0.5455 0.2500 0.9004
Y8 Y 0.6393 0.7500 0.6975
Y9 Y 0.7372 0.2500 0.4928
Y10 Y 0.8392 0.7500 0.2929
Y11 Y 0.8467 0.2500 0.7989
Y12 Y 0.9456 0.2500 0.0975
Sc1 Sc 0.2527 0.2500 0.0027
Sc2 Sc 0.3505 0.7500 0.8066
Sc3 Sc 0.4508 0.2500 0.6030
Sc4 Sc 0.5492 0.7500 0.3970
Sc5 Sc 0.6495 0.2500 0.1934
Sc6 Sc 0.7473 0.7500 0.9973
```



Entry 2:
For RbAg4Pb3I12, a crystal structure in Alexandria, relaxed with PBE gives the theoretical X-ray powder pattern in this record (Cu Kα, 1.54184 Å).
Lines closer than 0.1° are merged.

The 10 most intense peaks (10° ≤ 2θ ≤ 90°), low angle first:
- 2θ 10.5, I = 29
- 2θ 17.7, I = 68
- 2θ 19.3, I = 86
- 2θ 26.7, I = 100
- 2θ 34.2, I = 29
- 2θ 35.1, I = 28
- 2θ 37.6, I = 40
- 2θ 38.5, I = 43
- 2θ 46.2, I = 35
- 2θ 53.7, I = 28

Structure:
```
data_RbAg4Pb3I12
_chemical_formula_sum 'Rb1 Ag4 Pb3 I12'
_symmetry_space_group_name_H-M 'P 1'
_symmetry_Int_Tables_number 1
_symmetry_space_group_name_Hall 'P 1'
_cell_length_a 10.5017
_cell_length_b 10.5017
_cell_length_c 10.5017
_cell_angle_alpha 106.72
_cell_angle_beta 106.72
_cell_angle_gamma 106.72
loop_
_atom_site_label
_atom_site_type_symbol
_atom_site_fract_x
_atom_site_fract_y
_atom_site_fract_z
Rb1 Rb 0.0000 0.0000 0.0000
Ag1 Ag 0.0800 0.5000 0.9200
Ag2 Ag 0.5000 0.5000 0.5000
Ag3 Ag 0.5000 0.9200 0.0800
Ag4 Ag 0.9200 0.0800 0.5000
Pb1 Pb 0.0000 0.5637 0.4363
Pb2 Pb 0.4363 0.0000 0.5637
Pb3 Pb 0.5637 0.4363 0.0000
I1 I 0.0182 0.6550 0.7624
I2 I 0.0893 0.9107 0.5000
I3 I 0.2376 0.3450 0.9818
I4 I 0.3380 0.6620 0.5000
I5 I 0.3450 0.9818 0.2376
I6 I 0.5000 0.0893 0.9107
I7 I 0.5000 0.3380 0.6620
I8 I 0.6550 0.7624 0.0182
I9 I 0.6620 0.5000 0.3380
I10 I 0.7624 0.0182 0.6550
I11 I 0.9107 0.5000 0.0893
I12 I 0.9818 0.2376 0.3450
```



Entry 3:
For NaSrDy2Hg4, a crystal structure in Alexandria, relaxed with PBE gives the theoretical X-ray powder pattern in this record (Cu Kα, 1.54184 Å).
Lines closer than 0.1° are merged.

The 10 most intense peaks (10° ≤ 2θ ≤ 90°), low angle first:
- 2θ 23.6, I = 21
- 2θ 33.3, I = 98
- 2θ 34.0, I = 100
- 2θ 48.3, I = 35
- 2θ 59.1, I = 16
- 2θ 60.4, I = 36
- 2θ 60.8, I = 20
- 2θ 71.5, I = 14
- 2θ 80.1, I = 13
- 2θ 81.2, I = 16

Structure:
```
data_NaSrDy2Hg4
_chemical_formula_sum 'Na1 Sr1 Dy2 Hg4'
_symmetry_space_group_name_H-M 'P 1'
_symmetry_Int_Tables_number 1
_symmetry_space_group_name_Hall 'P 1'
_cell_length_a 9.3761
_cell_length_b 9.3761
_cell_length_c 9.3761
_cell_angle_alpha 32.70
_cell_angle_beta 32.70
_cell_angle_gamma 32.70
loop_
_atom_site_label
_atom_site_type_symbol
_atom_site_fract_x
_atom_site_fract_y
_atom_site_fract_z
Na1 Na 0.0000 0.0000 0.0000
Sr1 Sr 0.5000 0.5000 0.5000
Dy1 Dy 0.2555 0.2555 0.2555
Dy2 Dy 0.7445 0.7445 0.7445
Hg1 Hg 0.1175 0.1175 0.1175
Hg2 Hg 0.3735 0.3735 0.3735
Hg3 Hg 0.6265 0.6265 0.6265
Hg4 Hg 0.8825 0.8825 0.8825
```



Entry 4:
For AcNd8Bi6, a crystal structure in Alexandria, relaxed with PBE gives the theoretical X-ray powder pattern in this record (Cu Kα, 1.54184 Å).
Lines closer than 0.1° are merged.

The 10 most intense peaks (10° ≤ 2θ ≤ 90°), low angle first:
- 2θ 23.2, I = 40
- 2θ 29.3, I = 100
- 2θ 36.5, I = 67
- 2θ 37.5, I = 34
- 2θ 46.9, I = 15
- 2θ 47.5, I = 27
- 2θ 53.3, I = 12
- 2θ 61.3, I = 24
- 2θ 65.7, I = 29
- 2θ 66.4, I = 13

Structure:
```
data_AcNd8Bi6
_chemical_formula_sum 'Ac1 Nd8 Bi6'
_symmetry_space_group_name_H-M 'P 1'
_symmetry_Int_Tables_number 1
_symmetry_space_group_name_Hall 'P 1'
_cell_length_a 9.9900
_cell_length_b 9.9900
_cell_length_c 9.9900
_cell_angle_alpha 50.54
_cell_angle_beta 50.54
_cell_angle_gamma 50.54
loop_
_atom_site_label
_atom_site_type_symbol
_atom_site_fract_x
_atom_site_fract_y
_atom_site_fract_z
Ac1 Ac 0.0000 0.0000 0.0000
Nd1 Nd 0.1251 0.4457 0.7973
Nd2 Nd 0.2027 0.8749 0.5543
Nd3 Nd 0.3334 0.3334 0.3334
Nd4 Nd 0.4457 0.7973 0.1251
Nd5 Nd 0.5543 0.2027 0.8749
Nd6 Nd 0.6666 0.6666 0.6666
Nd7 Nd 0.7973 0.1251 0.4457
Nd8 Nd 0.8749 0.5543 0.2027
Bi1 Bi 0.0676 0.7258 0.4141
Bi2 Bi 0.2742 0.5859 0.9324
Bi3 Bi 0.4141 0.0676 0.7258
Bi4 Bi 0.5859 0.9324 0.2742
Bi5 Bi 0.7258 0.4141 0.0676
Bi6 Bi 0.9324 0.2742 0.5859
```



Entry 5:
For PrY5Au6, a crystal structure in Alexandria, relaxed with PBE gives the theoretical X-ray powder pattern in this record (Cu Kα, 1.54184 Å).
Lines closer than 0.1° are merged.

The 10 most intense peaks (10° ≤ 2θ ≤ 90°), low angle first:
- 2θ 24.4, I = 17
- 2θ 34.7, I = 34
- 2θ 34.9, I = 100
- 2θ 35.0, I = 66
- 2θ 50.0, I = 24
- 2θ 50.6, I = 11
- 2θ 62.4, I = 24
- 2θ 62.6, I = 25
- 2θ 62.9, I = 24
- 2θ 73.9, I = 15

Structure:
```
data_PrY5Au6
_chemical_formula_sum 'Pr1 Y5 Au6'
_symmetry_space_group_name_H-M 'P 1'
_symmetry_Int_Tables_number 1
_symmetry_space_group_name_Hall 'P 1'
_cell_length_a 5.1448
_cell_length_b 7.2162
_cell_length_c 8.1683
_cell_angle_alpha 90.00
_cell_angle_beta 108.44
_cell_angle_gamma 90.00
loop_
_atom_site_label
_atom_site_type_symbol
_atom_site_fract_x
_atom_site_fract_y
_atom_site_fract_z
Pr1 Pr 0.0000 0.0000 0.0000
Y1 Y 0.0000 0.5000 0.0000
Y2 Y 0.3332 0.0000 0.6650
Y3 Y 0.3349 0.5000 0.6683
Y4 Y 0.6651 0.5000 0.3317
Y5 Y 0.6668 0.0000 0.3350
Au1 Au 0.1697 0.2535 0.3428
Au2 Au 0.1697 0.7465 0.3428
Au3 Au 0.5000 0.2620 0.0000
Au4 Au 0.5000 0.7380 0.0000
Au5 Au 0.8303 0.2535 0.6572
Au6 Au 0.8303 0.7465 0.6572
```